The following is a theoretical X-ray powder pattern of CsVRhO6. It was derived from DFT lattice parameters and positions (GGA+U), using copper Kα.
Lines closer than 0.1° are merged.

Atomic structure:
```
data_CsVRhO6
_symmetry_space_group_name_H-M 'P 3 1 2'
_symmetry_Int_Tables_number 149
_symmetry_space_group_name_Hall 'P 3 2'
_cell_length_a 5.2299
_cell_length_b 5.2299
_cell_length_c 6.6471
_cell_angle_alpha 90.00
_cell_angle_beta 90.00
_cell_angle_gamma 120.00
loop_
_atom_site_label
_atom_site_type_symbol
_atom_site_fract_x
_atom_site_fract_y
_atom_site_fract_z
Cs1 Cs 0.0000 0.0000 0.0000
V1 V 0.6667 0.3333 0.5000
Rh1 Rh 0.3333 0.6667 0.5000
O1 O 0.4276 0.0076 0.3310
```

Peak list (6 most intense, 15 to 90 degrees two-theta, in order of falling intensity)
- 2θ = 23.8°, rel. 100
- 2θ = 44.1°, rel. 35
- 2θ = 34.3°, rel. 23
- 2θ = 55.4°, rel. 18
- 2θ = 42.2°, rel. 14
- 2θ = 26.8°, rel. 13